Simulated XRD peak list of KV2Hg2O7 for Cu Ka, from a cell relaxed with GGA+U.
Intensities are scaled so that the largest is 100.

Peak list (8 most intense, 2θ from 10° to 80°, low angle first)
d 8.014, intensity 34; d 4.849, intensity 71; d 4.007, intensity 46; d 3.975, intensity 92; d 3.059, intensity 100; d 2.882, intensity 54; d 2.432, intensity 41; d 2.424, intensity 33

Cell and atoms:
abc: 8.7582 8.7582 8.7582
angles: 40.89 40.89 40.89
Atoms (fractional coordinates):
K  0.0000  0.0000  0.0000
V  0.4250  0.4250  0.4250
V  0.5750  0.5750  0.5750
Hg  0.2678  0.2678  0.2678
Hg  0.7322  0.7322  0.7322
O  0.1341  0.4004  0.6662
O  0.3338  0.5996  0.8659
O  0.4004  0.6662  0.1341
O  0.5000  0.5000  0.5000
O  0.5996  0.8659  0.3338
O  0.6662  0.1341  0.4004
O  0.8659  0.3338  0.5996